Diffraction record for Ba2LaUO6. The X-ray powder pattern is calculated, not measured: it uses the GGA-PBE geometry in the Materials Project and copper Kα.
Intensities are scaled so that the largest is 100.

Lattice parameters (Å, degrees): 6.383 6.383 6.383 60.00 60.00 60.00
Sites, in units of the cell vectors:
Ba: 0.250 0.250 0.250
Ba: 0.750 0.750 0.750
La: 0.000 0.000 0.000
U: 0.500 0.500 0.500
O: 0.262 0.262 0.738
O: 0.262 0.738 0.262
O: 0.262 0.738 0.738
O: 0.738 0.262 0.262
O: 0.738 0.262 0.738
O: 0.738 0.738 0.262

The 10 most intense peaks (2θ from 10° to 80°), most intense first:
| d_spacing | I/Imax |
| --- | --- |
| 3.191 | 100.0 |
| 1.843 | 42.5 |
| 2.257 | 28.7 |
| 1.206 | 22.7 |
| 1.427 | 19.2 |
| 1.596 | 18.7 |
| 1.303 | 6.3 |
| 4.513 | 6.0 |
| 5.211 | 5.5 |
| 2.722 | 2.9 |

Diffraction record for PuHgAu2. The X-ray powder pattern is calculated, not measured: it uses the GGA-PBE geometry in the Materials Project and copper Kα.
Intensities are scaled so that the largest is 100.

Lattice parameters (Å, degrees): 7.063 7.063 7.063 90.00 90.00 90.00
Sites, in units of the cell vectors:
Pu: 0.000 0.000 0.000
Pu: 0.000 0.500 0.500
Pu: 0.500 0.000 0.500
Pu: 0.500 0.500 0.000
Hg: 0.000 0.000 0.500
Hg: 0.000 0.500 0.000
Hg: 0.500 0.000 0.000
Hg: 0.500 0.500 0.500
Au: 0.250 0.250 0.250
Au: 0.250 0.250 0.750
Au: 0.250 0.750 0.250
Au: 0.250 0.750 0.750
Au: 0.750 0.250 0.250
Au: 0.750 0.250 0.750
Au: 0.750 0.750 0.250
Au: 0.750 0.750 0.750

The 4 most intense peaks (2θ from 10° to 80°), most intense first:
| d_spacing | I/Imax |
| --- | --- |
| 2.497 | 100.0 |
| 1.442 | 37.4 |
| 1.766 | 18.0 |
| 1.248 | 11.8 |

Diffraction record for CaH2F4. The X-ray powder pattern is calculated, not measured: it uses the GGA-PBE geometry in the Materials Project and copper Kα.
Intensities are scaled so that the largest is 100.

Lattice parameters (Å, degrees): 7.384 6.029 5.837 76.95 52.69 50.36
Sites, in units of the cell vectors:
Ca: 0.125 0.125 0.125
Ca: 0.875 0.875 0.875
H: 0.256 0.256 0.494
H: 0.494 0.494 0.256
H: 0.506 0.506 0.744
H: 0.744 0.744 0.506
F: 0.165 0.349 0.724
F: 0.262 0.724 0.349
F: 0.276 0.738 0.835
F: 0.349 0.165 0.262
F: 0.651 0.835 0.738
F: 0.724 0.262 0.165
F: 0.738 0.276 0.651
F: 0.835 0.651 0.276

The 10 most intense peaks (2θ from 10° to 80°), most intense first:
| d_spacing | I/Imax |
| --- | --- |
| 2.254 | 100.0 |
| 3.689 | 90.3 |
| 4.480 | 61.6 |
| 2.240 | 54.2 |
| 1.892 | 46.9 |
| 2.884 | 41.2 |
| 1.821 | 37.2 |
| 1.811 | 34.9 |
| 1.721 | 27.8 |
| 1.957 | 22.2 |

Diffraction record for La2Si4CN6. The X-ray powder pattern is calculated, not measured: it uses the GGA-PBE geometry in the Materials Project and copper Kα.
Intensities are scaled so that the largest is 100.

Lattice parameters (Å, degrees): 11.607 5.250 13.535 90.00 90.00 90.00
Sites, in units of the cell vectors:
La: 0.076 0.250 0.087
La: 0.085 0.250 0.639
La: 0.415 0.750 0.139
La: 0.424 0.750 0.587
La: 0.576 0.250 0.413
La: 0.585 0.250 0.861
La: 0.915 0.750 0.361
La: 0.924 0.750 0.913
Si: 0.026 0.750 0.701
Si: 0.165 0.750 0.500
Si: 0.200 0.006 0.317
Si: 0.200 0.494 0.317
Si: 0.300 0.506 0.817
Si: 0.300 0.994 0.817
Si: 0.335 0.250 0.000
Si: 0.474 0.250 0.201
Si: 0.526 0.750 0.799
Si: 0.665 0.750 0.000
Si: 0.700 0.006 0.183
Si: 0.700 0.494 0.183
Si: 0.800 0.506 0.683
Si: 0.800 0.994 0.683
Si: 0.835 0.250 0.500
Si: 0.974 0.250 0.299
C: 0.196 0.750 0.029
C: 0.304 0.250 0.529
C: 0.696 0.750 0.471
C: 0.804 0.250 0.971
N: 0.063 0.001 0.270
N: 0.063 0.499 0.270
N: 0.083 0.750 0.019
N: 0.214 0.250 0.785
N: 0.244 0.019 0.541
N: 0.244 0.481 0.541
N: 0.256 0.519 0.041
N: 0.256 0.981 0.041
N: 0.286 0.750 0.285
N: 0.417 0.250 0.519
N: 0.437 0.501 0.770
N: 0.437 0.999 0.770
N: 0.563 0.001 0.230
N: 0.563 0.499 0.230
N: 0.583 0.750 0.481
N: 0.714 0.250 0.715
N: 0.744 0.019 0.959
N: 0.744 0.481 0.959
N: 0.756 0.519 0.459
N: 0.756 0.981 0.459
N: 0.786 0.750 0.215
N: 0.917 0.250 0.981
N: 0.937 0.501 0.730
N: 0.937 0.999 0.730

The 10 most intense peaks (2θ from 10° to 80°), most intense first:
| d_spacing | I/Imax |
| --- | --- |
| 3.902 | 100.0 |
| 3.359 | 45.4 |
| 2.554 | 27.4 |
| 2.068 | 21.9 |
| 4.205 | 21.8 |
| 2.393 | 21.2 |
| 5.846 | 20.8 |
| 2.540 | 15.8 |
| 2.026 | 15.2 |
| 2.625 | 10.4 |